Record 1
For BaCuP2O7, DFT lattice parameters and positions (GGA-PBE) gives the simulated powder diffraction line list in this record (a wavelength of 1.5418 Å).
Kinematic intensities with the Lorentz-polarization factor, no thermal factor.

Atomic structure:
```
BaCuP2O7
1.0
5.2738 0.0000 0.0000
-0.2330 7.6770 0.0000
-0.7398 -1.8394 7.4211
Ba Cu P O
2 2 4 14
direct
0.1913 0.4287 0.2772 Ba
0.8087 0.5713 0.7228 Ba
0.1778 0.9028 0.1446 Cu
0.8222 0.0972 0.8554 Cu
0.2878 0.8996 0.6922 P
0.3134 0.2805 0.7664 P
0.6866 0.7195 0.2336 P
0.7122 0.1004 0.3078 P
0.0935 0.2950 0.8892 O
0.0941 0.9162 0.8360 O
0.2126 0.7448 0.5330 O
0.2729 0.0855 0.6245 O
0.3004 0.4228 0.6582 O
0.4227 0.7115 0.1248 O
0.4352 0.1044 0.2224 O
0.5648 0.8956 0.7776 O
0.5773 0.2885 0.8752 O
0.6996 0.5772 0.3418 O
0.7271 0.9145 0.3755 O
0.7874 0.2552 0.4670 O
0.9059 0.0838 0.1640 O
0.9065 0.7050 0.1108 O
```

The 10 most intense peaks (10° ≤ 2θ ≤ 90°), by angle:
2θ 22.94, I 31
2θ 23.97, I 100
2θ 24.03, I 32
2θ 28.43, I 51
2θ 28.62, I 30
2θ 29.35, I 35
2θ 29.50, I 44
2θ 30.18, I 66
2θ 34.22, I 33
2θ 41.01, I 32

Record 2
For Ba2CuP2O8, DFT lattice parameters and positions (GGA-PBE) gives the simulated powder diffraction line list in this record (a wavelength of 1.5418 Å).
Kinematic intensities with the Lorentz-polarization factor, no thermal factor.

Atomic structure:
```
Ba2CuP2O8
1.0
6.1627 -2.5989 0.0000
6.1627 2.5989 0.0000
-1.8640 0.0000 6.7460
Ba Cu P O
2 1 2 8
direct
0.1732 0.1732 0.2152 Ba
0.8268 0.8268 0.7848 Ba
0.5000 0.5000 0.5000 Cu
0.1330 0.1330 0.7027 P
0.8670 0.8670 0.2973 P
0.0472 0.0472 0.8252 O
0.1216 0.6339 0.4355 O
0.2550 0.2550 0.8402 O
0.3661 0.8784 0.5645 O
0.6339 0.1216 0.4355 O
0.7450 0.7450 0.1598 O
0.8784 0.3661 0.5645 O
0.9528 0.9528 0.1748 O
```

The 10 most intense peaks (10° ≤ 2θ ≤ 90°), by angle:
2θ 18.63, I 39
2θ 21.66, I 84
2θ 22.42, I 31
2θ 26.69, I 64
2θ 28.33, I 100
2θ 34.18, I 48
2θ 34.54, I 56
2θ 43.96, I 52
2θ 45.99, I 27
2θ 58.58, I 22